(1)
Structure and computed powder XRD pattern of ThSnRh (DFT lattice parameters and positions (GGA-PBE); λ = 1.5418 Å (Cu Kα)).

Structure:
```
data_ThSnRh
_symmetry_space_group_name_H-M 'P 1'
_symmetry_Int_Tables_number 1
_cell_length_a 7.596
_cell_length_b 7.596
_cell_length_c 4.131
_cell_angle_alpha 90.00
_cell_angle_beta 90.00
_cell_angle_gamma 120.00
loop_
_symmetry_equiv_pos_as_xyz
'x,y,z'
loop_
_atom_site_label
_atom_site_type_symbol
_atom_site_fract_x
_atom_site_fract_y
_atom_site_fract_z
_atom_site_occupancy
Th1 Th 0.000 0.589 0.000 1
Th2 Th 0.411 0.411 0.000 1
Th3 Th 0.589 0.000 0.000 1
Sn1 Sn 0.000 0.252 0.500 1
Sn2 Sn 0.252 0.000 0.500 1
Sn3 Sn 0.748 0.748 0.500 1
Rh1 Rh 0.000 0.000 0.000 1
Rh2 Rh 0.333 0.667 0.500 1
Rh3 Rh 0.667 0.333 0.500 1
```

The 10 most intense peaks (2θ = 10–90°), by angle:
2theta	Rel. int.
32.01	100
34.87	84
36.12	45
41.16	24
43.83	24
49.99	17
55.02	26
58.05	24
61.69	15
65.89	26

---

(2)
Structure and computed powder XRD pattern of Ta10SeS3 (DFT lattice parameters and positions (GGA-PBE); λ = 1.5418 Å (Cu Kα)).

Structure:
```
data_Ta10SeS3
_symmetry_space_group_name_H-M 'P 1'
_symmetry_Int_Tables_number 1
_cell_length_a 3.333
_cell_length_b 3.333
_cell_length_c 22.161
_cell_angle_alpha 90.00
_cell_angle_beta 90.00
_cell_angle_gamma 90.00
loop_
_symmetry_equiv_pos_as_xyz
'x,y,z'
loop_
_atom_site_label
_atom_site_type_symbol
_atom_site_fract_x
_atom_site_fract_y
_atom_site_fract_z
_atom_site_occupancy
Ta1 Ta 0.000 0.000 0.000 1
Ta2 Ta 0.000 0.000 0.146 1
Ta3 Ta 0.000 0.000 0.423 1
Ta4 Ta 0.000 0.000 0.575 1
Ta5 Ta 0.000 0.000 0.727 1
Ta6 Ta 0.500 0.500 0.073 1
Ta7 Ta 0.500 0.500 0.222 1
Ta8 Ta 0.500 0.500 0.501 1
Ta9 Ta 0.500 0.500 0.648 1
Ta10 Ta 0.500 0.500 0.922 1
Se1 Se 0.000 0.000 0.278 1
S1 S 0.000 0.000 0.877 1
S2 S 0.500 0.500 0.380 1
S3 S 0.500 0.500 0.772 1
```

The 10 most intense peaks (2θ = 10–90°), by angle:
2theta	Rel. int.
16.00	8
33.65	20
38.19	59
39.25	100
55.11	21
64.06	7
69.74	37
71.84	13
81.72	7
84.40	9

---

(3)
Structure and computed powder XRD pattern of CsPbCl3 (DFT lattice parameters and positions (GGA-PBE); λ = 1.5418 Å (Cu Kα)).

Structure:
```
data_CsPbCl3
_symmetry_space_group_name_H-M 'P 1'
_symmetry_Int_Tables_number 1
_cell_length_a 5.734
_cell_length_b 5.734
_cell_length_c 5.734
_cell_angle_alpha 90.00
_cell_angle_beta 90.00
_cell_angle_gamma 90.00
loop_
_symmetry_equiv_pos_as_xyz
'x,y,z'
loop_
_atom_site_label
_atom_site_type_symbol
_atom_site_fract_x
_atom_site_fract_y
_atom_site_fract_z
_atom_site_occupancy
Cs1 Cs 0.000 0.000 0.000 1
Pb1 Pb 0.500 0.500 0.500 1
Cl1 Cl 0.000 0.500 0.500 1
Cl2 Cl 0.500 0.000 0.500 1
Cl3 Cl 0.500 0.500 0.000 1
```

The 10 most intense peaks (2θ = 10–90°), by angle:
2theta	Rel. int.
15.45	15
21.92	100
31.20	47
38.46	49
44.70	34
50.32	23
60.41	27
69.56	14
73.92	15
86.56	16

---

(4)
Structure and computed powder XRD pattern of Rb2SnTe5 (DFT lattice parameters and positions (GGA-PBE); λ = 1.5418 Å (Cu Kα)).

Structure:
```
data_Rb2SnTe5
_symmetry_space_group_name_H-M 'P 1'
_symmetry_Int_Tables_number 1
_cell_length_a 10.074
_cell_length_b 10.074
_cell_length_c 10.074
_cell_angle_alpha 127.38
_cell_angle_beta 127.38
_cell_angle_gamma 77.63
loop_
_symmetry_equiv_pos_as_xyz
'x,y,z'
loop_
_atom_site_label
_atom_site_type_symbol
_atom_site_fract_x
_atom_site_fract_y
_atom_site_fract_z
_atom_site_occupancy
Rb1 Rb 0.000 0.000 0.000 1
Rb2 Rb 0.250 0.250 0.000 1
Rb3 Rb 0.500 0.500 0.000 1
Rb4 Rb 0.750 0.750 0.000 1
Sn1 Sn 0.001 0.501 0.500 1
Sn2 Sn 0.501 0.001 0.500 1
Te1 Te 0.061 0.215 0.500 1
Te2 Te 0.215 0.715 0.154 1
Te3 Te 0.251 0.751 0.500 1
Te4 Te 0.287 0.787 0.847 1
Te5 Te 0.441 0.287 0.500 1
Te6 Te 0.561 0.061 0.846 1
Te7 Te 0.715 0.561 0.500 1
Te8 Te 0.751 0.251 0.500 1
Te9 Te 0.787 0.941 0.500 1
Te10 Te 0.941 0.441 0.153 1
```

The 10 most intense peaks (2θ = 10–90°), by angle:
2theta	Rel. int.
14.03	21
22.98	48
28.11	48
28.27	43
30.32	100
39.31	18
45.32	17
45.42	18
46.82	21
70.94	17

---

(5)
Structure and computed powder XRD pattern of Ba2NdMgSbO6 (DFT lattice parameters and positions (GGA-PBE); λ = 1.5418 Å (Cu Kα)).

Structure:
```
data_Ba2NdMgSbO6
_symmetry_space_group_name_H-M 'P 1'
_symmetry_Int_Tables_number 1
_cell_length_a 6.212
_cell_length_b 6.213
_cell_length_c 7.402
_cell_angle_alpha 65.22
_cell_angle_beta 65.22
_cell_angle_gamma 60.01
loop_
_symmetry_equiv_pos_as_xyz
'x,y,z'
loop_
_atom_site_label
_atom_site_type_symbol
_atom_site_fract_x
_atom_site_fract_y
_atom_site_fract_z
_atom_site_occupancy
Ba1 Ba 0.000 0.000 0.000 1
Ba2 Ba 0.452 0.453 0.643 1
Nd1 Nd 0.185 0.185 0.445 1
Mg1 Mg 0.781 0.782 0.654 1
Sb1 Sb 0.629 0.629 0.114 1
O1 O 0.025 0.868 0.682 1
O2 O 0.313 0.556 0.259 1
O3 O 0.425 0.026 0.682 1
O4 O 0.557 0.869 0.262 1
O5 O 0.867 0.425 0.682 1
O6 O 0.871 0.311 0.260 1
```

The 10 most intense peaks (2θ = 10–90°), by angle:
2theta	Rel. int.
18.85	41
24.69	33
28.33	56
28.74	100
36.42	21
38.24	18
40.22	29
40.79	22
50.66	22
50.91	27

---

(6)
Structure and computed powder XRD pattern of Cs2GaFeS4 (DFT lattice parameters and positions (GGA-PBE); λ = 1.5418 Å (Cu Kα)).

Structure:
```
data_Cs2GaFeS4
_symmetry_space_group_name_H-M 'P 1'
_symmetry_Int_Tables_number 1
_cell_length_a 7.288
_cell_length_b 7.288
_cell_length_c 5.783
_cell_angle_alpha 101.21
_cell_angle_beta 101.21
_cell_angle_gamma 117.39
loop_
_symmetry_equiv_pos_as_xyz
'x,y,z'
loop_
_atom_site_label
_atom_site_type_symbol
_atom_site_fract_x
_atom_site_fract_y
_atom_site_fract_z
_atom_site_occupancy
Cs1 Cs 0.000 0.000 0.000 1
Cs2 Cs 0.710 0.290 0.500 1
Ga1 Ga 0.352 0.648 0.500 1
Fe1 Fe 0.358 0.642 0.000 1
S1 S 0.073 0.563 0.155 1
S2 S 0.273 0.364 0.657 1
S3 S 0.437 0.927 0.845 1
S4 S 0.636 0.727 0.343 1
```

The 10 most intense peaks (2θ = 10–90°), by angle:
2theta	Rel. int.
18.10	43
21.87	36
24.91	100
25.39	96
28.49	84
33.42	22
33.61	20
37.92	44
44.43	28
49.94	20

---

(7)
Structure and computed powder XRD pattern of AlP2S6 (DFT lattice parameters and positions (GGA-PBE); λ = 1.5418 Å (Cu Kα)).

Structure:
```
data_AlP2S6
_symmetry_space_group_name_H-M 'P 1'
_symmetry_Int_Tables_number 1
_cell_length_a 5.917
_cell_length_b 5.917
_cell_length_c 7.273
_cell_angle_alpha 97.73
_cell_angle_beta 97.73
_cell_angle_gamma 119.60
loop_
_symmetry_equiv_pos_as_xyz
'x,y,z'
loop_
_atom_site_label
_atom_site_type_symbol
_atom_site_fract_x
_atom_site_fract_y
_atom_site_fract_z
_atom_site_occupancy
Al1 Al 0.000 0.000 0.000 1
P1 P 0.613 0.279 0.839 1
P2 P 0.721 0.387 0.161 1
S1 S 0.061 0.380 0.228 1
S2 S 0.245 0.229 0.770 1
S3 S 0.400 0.094 0.232 1
S4 S 0.620 0.939 0.772 1
S5 S 0.771 0.755 0.230 1
S6 S 0.906 0.600 0.768 1
```

The 10 most intense peaks (2θ = 10–90°), by angle:
2theta	Rel. int.
12.63	64
17.34	17
17.73	29
19.24	15
25.42	58
31.19	12
31.44	24
34.74	100
53.41	37
53.77	12

---

(8)
Structure and computed powder XRD pattern of Li2Mn4N3 (DFT lattice parameters and positions (GGA-PBE); λ = 1.5418 Å (Cu Kα)).

Structure:
```
data_Li2Mn4N3
_symmetry_space_group_name_H-M 'P 1'
_symmetry_Int_Tables_number 1
_cell_length_a 7.340
_cell_length_b 4.594
_cell_length_c 5.289
_cell_angle_alpha 90.00
_cell_angle_beta 95.80
_cell_angle_gamma 90.00
loop_
_symmetry_equiv_pos_as_xyz
'x,y,z'
loop_
_atom_site_label
_atom_site_type_symbol
_atom_site_fract_x
_atom_site_fract_y
_atom_site_fract_z
_atom_site_occupancy
Li1 Li 0.239 0.206 0.033 1
Li2 Li 0.239 0.294 0.533 1
Li3 Li 0.761 0.706 0.467 1
Li4 Li 0.761 0.794 0.967 1
Mn1 Mn 0.101 0.699 0.815 1
Mn2 Mn 0.101 0.801 0.315 1
Mn3 Mn 0.440 0.706 0.131 1
Mn4 Mn 0.440 0.794 0.631 1
Mn5 Mn 0.560 0.206 0.369 1
Mn6 Mn 0.560 0.294 0.869 1
Mn7 Mn 0.899 0.199 0.685 1
Mn8 Mn 0.899 0.301 0.185 1
N1 N 0.000 0.000 0.000 1
N2 N 0.000 0.500 0.500 1
N3 N 0.339 0.520 0.836 1
N4 N 0.339 0.980 0.336 1
N5 N 0.661 0.020 0.664 1
N6 N 0.661 0.480 0.164 1
```

The 10 most intense peaks (2θ = 10–90°), by angle:
2theta	Rel. int.
22.87	100
24.38	52
27.78	26
39.22	30
40.17	27
40.34	25
42.01	88
42.51	93
44.29	27
57.39	27

---

(9)
Structure and computed powder XRD pattern of Rb2PaF7 (DFT lattice parameters and positions (GGA-PBE); λ = 1.5418 Å (Cu Kα)).

Structure:
```
data_Rb2PaF7
_symmetry_space_group_name_H-M 'P 1'
_symmetry_Int_Tables_number 1
_cell_length_a 8.004
_cell_length_b 8.004
_cell_length_c 8.315
_cell_angle_alpha 120.63
_cell_angle_beta 120.63
_cell_angle_gamma 52.46
loop_
_symmetry_equiv_pos_as_xyz
'x,y,z'
loop_
_atom_site_label
_atom_site_type_symbol
_atom_site_fract_x
_atom_site_fract_y
_atom_site_fract_z
_atom_site_occupancy
Rb1 Rb 0.162 0.181 0.112 1
Rb2 Rb 0.181 0.162 0.612 1
Rb3 Rb 0.819 0.838 0.388 1
Rb4 Rb 0.838 0.819 0.888 1
Pa1 Pa 0.475 0.525 0.750 1
Pa2 Pa 0.525 0.475 0.250 1
F1 F 0.160 0.840 0.750 1
F2 F 0.177 0.605 0.210 1
F3 F 0.214 0.446 0.516 1
F4 F 0.300 0.555 0.921 1
F5 F 0.395 0.823 0.290 1
F6 F 0.445 0.700 0.579 1
F7 F 0.446 0.214 0.016 1
F8 F 0.554 0.786 0.984 1
F9 F 0.555 0.300 0.421 1
F10 F 0.605 0.177 0.710 1
F11 F 0.700 0.445 0.079 1
F12 F 0.786 0.554 0.484 1
F13 F 0.823 0.395 0.790 1
F14 F 0.840 0.160 0.250 1
```

The 10 most intense peaks (2θ = 10–90°), by angle:
2theta	Rel. int.
14.59	47
14.99	18
25.17	25
25.89	100
26.05	18
26.38	26
36.78	25
44.79	30
46.26	26
53.23	14